Calculated powder XRD pattern of Pr3CuSi2 for a wavelength of 1.5418 Å, from a cell relaxed with PBE.
Intensities are scaled so that the largest is 100.

Structure:
Cell lengths 11.8476, 4.2882, 11.8647 Å; angles 90.00, 90.00, 90.00 degrees
Space group Pnma (No. 62)
Asymmetric unit:
Pr1 0.0604 0.2500 0.1219 x4
Pr2 0.1217 0.7500 0.5625 x4
Pr3 0.2035 0.2500 0.8029 x4
Cu1 0.1315 0.2500 0.3670 x4
Si1 0.0314 0.7500 0.3181 x4
Si2 0.1941 0.7500 0.9889 x4

Most intense lines, 2θ from 15° to 90°, in order of rising 2θ:
d 3.334, 26.7 deg, I = 50, (2 1 1); d 2.998, 29.8 deg, I = 49, (2 1 2); d 2.907, 30.8 deg, I = 100, (0 1 3); d 2.876, 31.1 deg, I = 79, (1 0 4); d 2.609, 34.4 deg, I = 75, (3 1 2); d 2.144, 42.1 deg, I = 47, (0 2 0)

---

Calculated powder XRD pattern of PrSm3Cu4 for a wavelength of 1.5418 Å, from a cell relaxed with PBE.
Intensities are scaled so that the largest is 100.

Structure:
Cell lengths 10.1018, 7.1061, 5.0512 Å; angles 90.00, 90.00, 90.00 degrees
Space group Pmma (No. 51)
Asymmetric unit:
Pr1 0.0000 0.0000 0.0000 x2
Sm1 0.0000 0.5000 0.0000 x2
Sm2 0.2500 0.0000 0.4986 x2
Sm3 0.2500 0.5000 0.4984 x2
Cu1 0.0000 0.2562 0.5000 x4
Cu2 0.2500 0.2561 0.9967 x4

Most intense lines, 2θ from 15° to 90°, in order of rising 2θ:
d 3.572, 24.9 deg, I = 11, (2 0 1); d 2.521, 35.6 deg, I = 100, (4 0 0); d 1.786, 51.2 deg, I = 12, (4 0 2); d 1.457, 63.9 deg, I = 23, (6 2 1); d 1.453, 64.1 deg, I = 12, (4 4 0); d 1.129, 86.1 deg, I = 10, (8 0 2)

---

Calculated powder XRD pattern of PrSm2Cu2 for a wavelength of 1.5418 Å, from a cell relaxed with PBE.
Intensities are scaled so that the largest is 100.

Structure:
Cell lengths 3.6164, 26.6024, 5.2225 Å; angles 90.00, 90.00, 90.00 degrees
Space group Cmcm (No. 63)
Asymmetric unit:
Pr1 0.0000 0.1410 0.2500 x4
Sm1 0.0000 0.0470 0.7500 x4
Sm2 0.0000 0.2301 0.7500 x4
Cu1 0.0000 0.3598 0.2500 x4
Cu2 0.0000 0.4566 0.7500 x4

Most intense lines, 2θ from 15° to 90°, in order of rising 2θ:
d 3.380, 26.4 deg, I = 19, (0 6 1); d 2.660, 33.7 deg, I = 17, (0 10 0); d 2.611, 34.3 deg, I = 29, (0 0 2); d 2.595, 34.6 deg, I = 100, (1 5 1); d 1.864, 48.9 deg, I = 12, (0 10 2); d 1.505, 61.6 deg, I = 18, (1 5 3)

---

Calculated powder XRD pattern of Pr4SmCu for a wavelength of 1.5418 Å, from a cell relaxed with PBE.
Intensities are scaled so that the largest is 100.

Structure:
Cell lengths 3.6759, 3.6759, 14.0940 Å; angles 90.00, 90.00, 90.00 degrees
Space group P4/mmm (No. 123)
Asymmetric unit:
Pr1 0.0000 0.0000 0.1242 x2
Pr2 0.5000 0.5000 0.3167 x2
Sm1 0.0000 0.0000 0.5000 x1
Cu1 0.5000 0.5000 0.0000 x1

Most intense lines, 2θ from 15° to 90°, in order of rising 2θ:
d 3.259, 27.4 deg, I = 21, (1 0 2); d 2.895, 30.9 deg, I = 100, (1 0 3); d 2.599, 34.5 deg, I = 49, (1 1 0); d 1.911, 47.6 deg, I = 18, (1 1 5); d 1.838, 49.6 deg, I = 17, (2 0 0); d 1.552, 59.6 deg, I = 30, (2 1 3)

---

Calculated powder XRD pattern of Pr2CuSn4 for a wavelength of 1.5418 Å, from a cell relaxed with PBE.
Intensities are scaled so that the largest is 100.

Structure:
Cell lengths 4.4828, 4.4895, 18.3347 Å; angles 90.00, 90.00, 90.00 degrees
Space group Amm2 (No. 38)
Asymmetric unit:
Pr1 0.0000 0.0000 0.0000 x2
Pr2 0.5000 0.0000 0.2106 x2
Cu1 0.0000 0.0000 0.7834 x2
Sn1 0.0000 0.0000 0.3634 x2
Sn2 0.0000 0.0000 0.6453 x2
Sn3 0.5000 0.0000 0.5439 x2
Sn4 0.5000 0.0000 0.8624 x2

Most intense lines, 2θ from 15° to 90°, in order of rising 2θ:
d 3.056, 29.2 deg, I = 13, (0 0 6); d 2.816, 31.8 deg, I = 100, (1 1 3); d 2.525, 35.6 deg, I = 18, (1 0 6); d 2.243, 40.2 deg, I = 40, (2 0 0); d 1.586, 58.2 deg, I = 14, (2 2 0); d 1.382, 67.8 deg, I = 23, (3 1 3)

---

Calculated powder XRD pattern of Pr2Cu3Sn3 for a wavelength of 1.5418 Å, from a cell relaxed with PBE.
Intensities are scaled so that the largest is 100.

Structure:
Cell lengths 3.0919, 3.0919, 22.3343 Å; angles 90.00, 90.00, 90.00 degrees
Space group P4/mmm (No. 123)
Asymmetric unit:
Pr1 0.0000 0.0000 0.2451 x2
Cu1 0.0000 0.0000 0.1171 x2
Cu2 0.0000 0.0000 0.5000 x1
Sn1 0.0000 0.0000 0.0000 x1
Sn2 0.0000 0.0000 0.3865 x2

Most intense lines, 2θ from 15° to 90°, in order of rising 2θ:
d 3.092, 28.9 deg, I = 100, (1 0 0); d 2.792, 32.1 deg, I = 33, (0 0 8); d 2.186, 41.3 deg, I = 38, (1 1 0); d 2.072, 43.7 deg, I = 56, (1 0 8); d 1.721, 53.2 deg, I = 31, (1 1 8); d 1.239, 77.0 deg, I = 21, (2 1 8)

---

Calculated powder XRD pattern of PrCu5Sn for a wavelength of 1.5418 Å, from a cell relaxed with PBE.
Intensities are scaled so that the largest is 100.

Structure:
Cell lengths 8.3818, 5.1035, 10.6707 Å; angles 90.00, 90.00, 90.00 degrees
Space group Pnma (No. 62)
Asymmetric unit:
Pr1 0.2453 0.2500 0.0590 x4
Cu1 0.0633 0.7500 0.1046 x4
Cu2 0.0690 0.0000 0.3117 x8
Cu3 0.0815 0.2500 0.5167 x4
Cu4 0.1806 0.2500 0.7445 x4
Sn1 0.1403 0.7500 0.8596 x4

Most intense lines, 2θ from 15° to 90°, in order of rising 2θ:
d 2.542, 35.3 deg, I = 46, (1 0 4); d 2.395, 37.6 deg, I = 69, (2 1 3); d 2.389, 37.7 deg, I = 100, (3 1 1); d 2.135, 42.3 deg, I = 41, (2 2 1); d 2.058, 44.0 deg, I = 79, (2 1 4); d 2.013, 45.0 deg, I = 49, (1 2 3)

---

Calculated powder XRD pattern of Pr8CuSn2 for a wavelength of 1.5418 Å, from a cell relaxed with PBE.
Intensities are scaled so that the largest is 100.

Structure:
Cell lengths 19.8903, 5.1988, 6.9905 Å; angles 90.00, 105.51, 90.00 degrees
Space group C2/m (No. 12)
Asymmetric unit:
Pr1 0.0144 0.0000 0.2833 x4
Pr2 0.0916 0.5000 0.9723 x4
Pr3 0.1499 0.5000 0.4951 x4
Pr4 0.2151 0.0000 0.8150 x4
Cu1 0.0000 0.5000 0.5000 x2
Sn1 0.1795 0.0000 0.2493 x4

Most intense lines, 2θ from 15° to 90°, in order of rising 2θ:
d 3.228, 27.6 deg, I = 40, (3 1 1); d 3.085, 28.9 deg, I = 96, (5 1 0); d 2.892, 30.9 deg, I = 100, (1 1 -2); d 2.709, 33.1 deg, I = 56, (1 1 2); d 2.600, 34.5 deg, I = 96, (0 2 0); d 2.474, 36.3 deg, I = 38, (7 1 -1)